This entry pairs a crystal structure of ErLuNi2 with its computed X-ray powder pattern. Radiation: CuKα. Structure: a crystal structure in OQMD, relaxed with GGA-PBE.
Neutral-atom scattering factors, no anomalous dispersion.

Main lines, in order of falling intensity (10 to 90 degrees two-theta):
2θ = 33.9°, intensity 100, hkl 0 1 2; 2θ = 30.3°, intensity 89, hkl 1 1 -1; 2θ = 44.1°, intensity 51, hkl 0 2 0; 2θ = 35.9°, intensity 47, hkl 2 0 -1; 2θ = 36.0°, intensity 46, hkl 2 0 1; 2θ = 38.0°, intensity 44, hkl 1 1 2; 2θ = 27.4°, intensity 40, hkl 1 1 0; 2θ = 37.9°, intensity 39, hkl 1 1 -2; 2θ = 42.3°, intensity 39, hkl 2 1 -1; 2θ = 42.4°, intensity 38, hkl 2 1 1; 2θ = 58.2°, intensity 25, hkl 2 2 1; 2θ = 58.1°, intensity 23, hkl 2 2 -1

Structural model:
Cell lengths 5.3542, 4.1038, 6.9267 Å; angles 90.00, 90.34, 90.00 degrees
Sites, in units of the cell vectors:
1 Er 0.1323 0.2500 0.1808
2 Er 0.8677 0.7500 0.8192
3 Lu 0.3686 0.2500 0.6788
4 Lu 0.6314 0.7500 0.3212
5 Ni 0.1286 0.7500 0.4634
6 Ni 0.3737 0.7500 0.9618
7 Ni 0.6263 0.2500 0.0382
8 Ni 0.8714 0.2500 0.5366

---

This entry pairs a crystal structure of LiPd3Se2S4 with its computed X-ray powder pattern. Radiation: CuKα. Structure: a crystal structure in OQMD, relaxed with GGA-PBE.
Neutral-atom scattering factors, no anomalous dispersion.

Main lines, in order of falling intensity (10 to 90 degrees two-theta):
2θ = 13.8°, intensity 100, hkl 0 0 3; 2θ = 31.9°, intensity 71, hkl 1 0 3; 2θ = 40.3°, intensity 48, hkl 1 0 6; 2θ = 50.6°, intensity 27, hkl 1 1 0; 2θ = 52.8°, intensity 18, hkl 1 1 3; 2θ = 47.8°, intensity 15, hkl 0 1 8; 2θ = 51.9°, intensity 14, hkl 0 1 9; 2θ = 37.1°, intensity 14, hkl 1 0 5; 2θ = 28.6°, intensity 12, hkl 1 0 0; 2θ = 66.7°, intensity 10, hkl 0 2 6; 2θ = 61.1°, intensity 10, hkl 0 2 3; 2θ = 88.3°, intensity 10, hkl 2 1 6

Structural model:
Cell lengths 3.6046, 3.6046, 19.2168 Å; angles 90.00, 90.00, 120.00 degrees
Sites, in units of the cell vectors:
1 Li 0.0000 0.0000 0.0000
2 Pd 0.0000 0.0000 0.1495
3 Pd 0.0000 0.0000 0.5000
4 Pd 0.0000 0.0000 0.8505
5 Se 0.3333 0.6667 0.4272
6 Se 0.6667 0.3333 0.5728
7 S 0.3333 0.6667 0.0812
8 S 0.3333 0.6667 0.7861
9 S 0.6667 0.3333 0.2139
10 S 0.6667 0.3333 0.9188